[1]
The following is a calculated powder diffraction line list of Pr5InSi2. It was derived from a structure optimized by DFT (GGA-PBE), using Cu Kα, 1.54184 Å.
Kinematic intensities with the Lorentz-polarization factor, no thermal factor.

Principal peaks in the range 10 to 80 degrees two-theta, sorted by position:
25.70°, intensity 53
28.90°, intensity 44
30.96°, intensity 100
31.74°, intensity 35
33.06°, intensity 99
35.61°, intensity 64
47.42°, intensity 22
50.23°, intensity 22
50.72°, intensity 29
54.81°, intensity 38

Structural model:
```
data_Pr5InSi2
_chemical_formula_sum 'Pr10 In2 Si4'
_cell_length_a 9.294
_cell_length_b 9.294
_cell_length_c 9.294
_cell_angle_alpha 129.20
_cell_angle_beta 129.20
_cell_angle_gamma 74.69
_symmetry_space_group_name_H-M 'P 1'
_symmetry_Int_Tables_number 1
loop_
_symmetry_equiv_pos_as_xyz
'x,y,z'
loop_
_atom_site_label
_atom_site_fract_x
_atom_site_fract_y
_atom_site_fract_z
Pr1 0.000 0.000 0.000
Pr2 0.039 0.539 0.854
Pr3 0.184 0.039 0.500
Pr4 0.316 0.816 0.854
Pr5 0.461 0.316 0.500
Pr6 0.500 0.500 0.000
Pr7 0.539 0.684 0.500
Pr8 0.684 0.184 0.146
Pr9 0.816 0.961 0.500
Pr10 0.961 0.461 0.146
In1 0.250 0.250 0.000
In2 0.750 0.750 0.000
Si1 0.115 0.385 0.500
Si2 0.385 0.885 0.270
Si3 0.615 0.115 0.730
Si4 0.885 0.615 0.500
```


[2]
The following is a calculated powder diffraction line list of Pr3Sm2In2. It was derived from a structure optimized by DFT (GGA-PBE), using Cu Kα, 1.54184 Å.
Kinematic intensities with the Lorentz-polarization factor, no thermal factor.

Principal peaks in the range 10 to 80 degrees two-theta, sorted by position:
31.10°, intensity 100
33.01°, intensity 14
36.74°, intensity 18
38.28°, intensity 16
50.21°, intensity 8
50.97°, intensity 7
54.10°, intensity 12
60.90°, intensity 16
62.68°, intensity 13
64.73°, intensity 15

Structural model:
```
data_Pr3Sm2In2
_chemical_formula_sum 'Pr3 Sm2 In2'
_cell_length_a 12.700
_cell_length_b 12.700
_cell_length_c 3.584
_cell_angle_alpha 90.00
_cell_angle_beta 90.00
_cell_angle_gamma 157.79
_symmetry_space_group_name_H-M 'P 1'
_symmetry_Int_Tables_number 1
loop_
_symmetry_equiv_pos_as_xyz
'x,y,z'
loop_
_atom_site_label
_atom_site_fract_x
_atom_site_fract_y
_atom_site_fract_z
Pr1 0.000 0.000 0.000
Pr2 0.138 0.862 0.000
Pr3 0.862 0.138 0.000
Sm1 0.289 0.711 0.500
Sm2 0.711 0.289 0.500
In1 0.430 0.570 0.500
In2 0.570 0.430 0.500
```


[3]
The following is a calculated powder diffraction line list of Pr4SmIn4. It was derived from a structure optimized by DFT (GGA-PBE), using Cu Kα, 1.54184 Å.
Kinematic intensities with the Lorentz-polarization factor, no thermal factor.

Principal peaks in the range 10 to 80 degrees two-theta, sorted by position:
20.17°, intensity 13
28.60°, intensity 63
34.66°, intensity 100
34.88°, intensity 31
42.93°, intensity 10
50.16°, intensity 19
56.46°, intensity 12
61.95°, intensity 15
62.40°, intensity 30
73.61°, intensity 10

Structural model:
```
data_Pr4SmIn4
_chemical_formula_sum 'Pr8 Sm2 In8'
_cell_length_a 7.275
_cell_length_b 7.275
_cell_length_c 11.057
_cell_angle_alpha 90.00
_cell_angle_beta 90.00
_cell_angle_gamma 90.00
_symmetry_space_group_name_H-M 'P 1'
_symmetry_Int_Tables_number 1
loop_
_symmetry_equiv_pos_as_xyz
'x,y,z'
loop_
_atom_site_label
_atom_site_fract_x
_atom_site_fract_y
_atom_site_fract_z
Pr1 0.027 0.250 0.177
Pr2 0.250 0.027 0.677
Pr3 0.250 0.473 0.677
Pr4 0.473 0.250 0.177
Pr5 0.527 0.750 0.823
Pr6 0.750 0.527 0.323
Pr7 0.750 0.973 0.323
Pr8 0.973 0.750 0.823
Sm1 0.250 0.750 0.250
Sm2 0.750 0.250 0.750
In1 0.012 0.250 0.479
In2 0.250 0.012 0.979
In3 0.250 0.488 0.979
In4 0.488 0.250 0.479
In5 0.512 0.750 0.521
In6 0.750 0.512 0.021
In7 0.750 0.988 0.021
In8 0.988 0.750 0.521
```


[4]
The following is a calculated powder diffraction line list of PrSm3In4. It was derived from a structure optimized by DFT (GGA-PBE), using Cu Kα, 1.54184 Å.
Kinematic intensities with the Lorentz-polarization factor, no thermal factor.

Principal peaks in the range 10 to 80 degrees two-theta, sorted by position:
23.10°, intensity 2
32.90°, intensity 100
40.59°, intensity 1
47.22°, intensity 18
53.20°, intensity 1
58.75°, intensity 37
69.00°, intensity 11
78.58°, intensity 16

Structural model:
```
data_PrSm3In4
_chemical_formula_sum 'Pr1 Sm3 In4'
_cell_length_a 3.850
_cell_length_b 3.850
_cell_length_c 15.395
_cell_angle_alpha 90.00
_cell_angle_beta 90.00
_cell_angle_gamma 90.00
_symmetry_space_group_name_H-M 'P 1'
_symmetry_Int_Tables_number 1
loop_
_symmetry_equiv_pos_as_xyz
'x,y,z'
loop_
_atom_site_label
_atom_site_fract_x
_atom_site_fract_y
_atom_site_fract_z
Pr1 0.000 0.000 0.000
Sm1 0.000 0.000 0.253
Sm2 0.000 0.000 0.500
Sm3 0.000 0.000 0.747
In1 0.500 0.500 0.131
In2 0.500 0.500 0.377
In3 0.500 0.500 0.623
In4 0.500 0.500 0.869
```


[5]
The following is a calculated powder diffraction line list of PrSm5In8. It was derived from a structure optimized by DFT (GGA-PBE), using Cu Kα, 1.54184 Å.
Kinematic intensities with the Lorentz-polarization factor, no thermal factor.

Principal peaks in the range 10 to 80 degrees two-theta, sorted by position:
23.31°, intensity 15
30.02°, intensity 53
30.26°, intensity 100
35.78°, intensity 43
35.94°, intensity 92
43.31°, intensity 19
45.40°, intensity 13
47.65°, intensity 16
61.11°, intensity 16
61.19°, intensity 15

Structural model:
```
data_PrSm5In8
_chemical_formula_sum 'Pr1 Sm5 In8'
_cell_length_a 8.109
_cell_length_b 8.109
_cell_length_c 8.109
_cell_angle_alpha 109.72
_cell_angle_beta 109.72
_cell_angle_gamma 108.97
_symmetry_space_group_name_H-M 'P 1'
_symmetry_Int_Tables_number 1
loop_
_symmetry_equiv_pos_as_xyz
'x,y,z'
loop_
_atom_site_label
_atom_site_fract_x
_atom_site_fract_y
_atom_site_fract_z
Pr1 0.000 0.000 0.000
Sm1 0.244 0.624 0.123
Sm2 0.376 0.500 0.620
Sm3 0.500 0.121 0.877
Sm4 0.750 0.250 0.500
Sm5 0.879 0.756 0.380
In1 0.126 0.701 0.746
In2 0.132 0.212 0.751
In3 0.299 0.045 0.425
In4 0.461 0.382 0.249
In5 0.618 0.868 0.079
In6 0.620 0.874 0.575
In7 0.788 0.539 0.921
In8 0.955 0.380 0.254
```


[6]
The following is a calculated powder diffraction line list of Pr7Sm3In. It was derived from a structure optimized by DFT (GGA-PBE), using Cu Kα, 1.54184 Å.
Kinematic intensities with the Lorentz-polarization factor, no thermal factor.

Principal peaks in the range 10 to 80 degrees two-theta, sorted by position:
17.48°, intensity 8
30.47°, intensity 100
30.63°, intensity 33
35.38°, intensity 67
50.79°, intensity 24
51.00°, intensity 24
60.46°, intensity 42
60.67°, intensity 14
63.42°, intensity 12
74.84°, intensity 7

Structural model:
```
data_Pr7Sm3In
_chemical_formula_sum 'Pr7 Sm3 In1'
_cell_length_a 7.190
_cell_length_b 7.190
_cell_length_c 8.757
_cell_angle_alpha 90.00
_cell_angle_beta 90.00
_cell_angle_gamma 120.00
_symmetry_space_group_name_H-M 'P 1'
_symmetry_Int_Tables_number 1
loop_
_symmetry_equiv_pos_as_xyz
'x,y,z'
loop_
_atom_site_label
_atom_site_fract_x
_atom_site_fract_y
_atom_site_fract_z
Pr1 0.000 0.000 0.000
Pr2 0.165 0.330 0.660
Pr3 0.165 0.835 0.660
Pr4 0.502 0.005 0.990
Pr5 0.502 0.498 0.990
Pr6 0.670 0.835 0.660
Pr7 0.995 0.498 0.990
Sm1 0.334 0.167 0.331
Sm2 0.833 0.167 0.331
Sm3 0.833 0.666 0.331
In1 0.667 0.333 0.653
```


[7]
The following is a calculated powder diffraction line list of Pr3Sm3In. It was derived from a structure optimized by DFT (GGA-PBE), using Cu Kα, 1.54184 Å.
Kinematic intensities with the Lorentz-polarization factor, no thermal factor.

Principal peaks in the range 10 to 80 degrees two-theta, sorted by position:
27.94°, intensity 16
29.60°, intensity 39
31.30°, intensity 72
31.47°, intensity 100
32.11°, intensity 99
33.58°, intensity 45
43.62°, intensity 27
55.82°, intensity 22
56.21°, intensity 24
57.97°, intensity 14

Structural model:
```
data_Pr3Sm3In
_chemical_formula_sum 'Pr6 Sm6 In2'
_cell_length_a 9.203
_cell_length_b 5.716
_cell_length_c 9.890
_cell_angle_alpha 90.00
_cell_angle_beta 117.23
_cell_angle_gamma 90.00
_symmetry_space_group_name_H-M 'P 1'
_symmetry_Int_Tables_number 1
loop_
_symmetry_equiv_pos_as_xyz
'x,y,z'
loop_
_atom_site_label
_atom_site_fract_x
_atom_site_fract_y
_atom_site_fract_z
Pr1 0.057 0.250 0.233
Pr2 0.183 0.250 0.925
Pr3 0.285 0.750 0.172
Pr4 0.715 0.250 0.828
Pr5 0.817 0.750 0.075
Pr6 0.943 0.750 0.767
Sm1 0.105 0.750 0.469
Sm2 0.387 0.750 0.861
Sm3 0.484 0.250 0.421
Sm4 0.516 0.750 0.579
Sm5 0.613 0.250 0.139
Sm6 0.895 0.250 0.531
In1 0.305 0.250 0.640
In2 0.695 0.750 0.360
```


[8]
The following is a calculated powder diffraction line list of Pr6SmIn6. It was derived from a structure optimized by DFT (GGA-PBE), using Cu Kα, 1.54184 Å.
Kinematic intensities with the Lorentz-polarization factor, no thermal factor.

Principal peaks in the range 10 to 80 degrees two-theta, sorted by position:
27.79°, intensity 42
28.75°, intensity 27
31.88°, intensity 27
32.15°, intensity 100
35.83°, intensity 19
36.05°, intensity 69
51.95°, intensity 16
56.96°, intensity 29
57.41°, intensity 27
67.18°, intensity 18

Structural model:
```
data_Pr6SmIn6
_chemical_formula_sum 'Pr6 Sm1 In6'
_cell_length_a 6.421
_cell_length_b 6.421
_cell_length_c 11.228
_cell_angle_alpha 90.00
_cell_angle_beta 90.00
_cell_angle_gamma 120.00
_symmetry_space_group_name_H-M 'P 1'
_symmetry_Int_Tables_number 1
loop_
_symmetry_equiv_pos_as_xyz
'x,y,z'
loop_
_atom_site_label
_atom_site_fract_x
_atom_site_fract_y
_atom_site_fract_z
Pr1 0.000 0.000 0.167
Pr2 0.000 0.000 0.833
Pr3 0.333 0.667 0.000
Pr4 0.333 0.667 0.500
Pr5 0.667 0.333 0.000
Pr6 0.667 0.333 0.500
Sm1 0.000 0.000 0.500
In1 0.000 0.500 0.254
In2 0.000 0.500 0.746
In3 0.500 0.000 0.254
In4 0.500 0.000 0.746
In5 0.500 0.500 0.254
In6 0.500 0.500 0.746
```


[9]
The following is a calculated powder diffraction line list of Pr3Sm4In2. It was derived from a structure optimized by DFT (GGA-PBE), using Cu Kα, 1.54184 Å.
Kinematic intensities with the Lorentz-polarization factor, no thermal factor.

Principal peaks in the range 10 to 80 degrees two-theta, sorted by position:
31.05°, intensity 100
35.39°, intensity 18
35.90°, intensity 17
36.71°, intensity 16
51.91°, intensity 12
52.28°, intensity 11
60.78°, intensity 7
60.92°, intensity 7
61.45°, intensity 7
62.61°, intensity 13

Structural model:
```
data_Pr3Sm4In2
_chemical_formula_sum 'Pr3 Sm4 In2'
_cell_length_a 6.154
_cell_length_b 6.154
_cell_length_c 10.708
_cell_angle_alpha 107.57
_cell_angle_beta 107.57
_cell_angle_gamma 46.88
_symmetry_space_group_name_H-M 'P 1'
_symmetry_Int_Tables_number 1
loop_
_symmetry_equiv_pos_as_xyz
'x,y,z'
loop_
_atom_site_label
_atom_site_fract_x
_atom_site_fract_y
_atom_site_fract_z
Pr1 0.000 0.000 0.000
Pr2 0.329 0.329 0.448
Pr3 0.671 0.671 0.552
Sm1 0.008 0.008 0.676
Sm2 0.330 0.330 0.110
Sm3 0.670 0.670 0.890
Sm4 0.992 0.992 0.324
In1 0.337 0.337 0.783
In2 0.663 0.663 0.217
```


[10]
The following is a calculated powder diffraction line list of PrSmInSn. It was derived from a structure optimized by DFT (GGA-PBE), using Cu Kα, 1.54184 Å.
Kinematic intensities with the Lorentz-polarization factor, no thermal factor.

Principal peaks in the range 10 to 80 degrees two-theta, sorted by position:
28.79°, intensity 100
29.66°, intensity 24
30.31°, intensity 30
36.09°, intensity 71
36.65°, intensity 20
38.41°, intensity 28
40.87°, intensity 23
49.69°, intensity 15
57.33°, intensity 17
73.54°, intensity 14

Structural model:
```
data_PrSmInSn
_chemical_formula_sum 'Pr1 Sm1 In1 Sn1'
_cell_length_a 4.416
_cell_length_b 6.346
_cell_length_c 6.346
_cell_angle_alpha 43.35
_cell_angle_beta 90.00
_cell_angle_gamma 90.00
_symmetry_space_group_name_H-M 'P 1'
_symmetry_Int_Tables_number 1
loop_
_symmetry_equiv_pos_as_xyz
'x,y,z'
loop_
_atom_site_label
_atom_site_fract_x
_atom_site_fract_y
_atom_site_fract_z
Pr1 0.000 0.000 0.000
Sm1 0.500 0.724 0.724
In1 0.500 0.446 0.446
Sn1 0.000 0.277 0.277
```


[11]
The following is a calculated powder diffraction line list of Tb6Pr2Sm3In. It was derived from a structure optimized by DFT (GGA-PBE), using Cu Kα, 1.54184 Å.
Kinematic intensities with the Lorentz-polarization factor, no thermal factor.

Principal peaks in the range 10 to 80 degrees two-theta, sorted by position:
30.73°, intensity 100
35.64°, intensity 51
51.23°, intensity 18
51.34°, intensity 18
60.89°, intensity 7
60.99°, intensity 25
61.05°, intensity 11
63.87°, intensity 3
64.06°, intensity 9
75.47°, intensity 6

Structural model:
```
data_Tb6Pr2Sm3In
_chemical_formula_sum 'Tb6 Pr2 Sm3 In1'
_cell_length_a 6.165
_cell_length_b 6.165
_cell_length_c 11.841
_cell_angle_alpha 95.00
_cell_angle_beta 95.00
_cell_angle_gamma 120.02
_symmetry_space_group_name_H-M 'P 1'
_symmetry_Int_Tables_number 1
loop_
_symmetry_equiv_pos_as_xyz
'x,y,z'
loop_
_atom_site_label
_atom_site_fract_x
_atom_site_fract_y
_atom_site_fract_z
Tb1 0.082 0.409 0.748
Tb2 0.244 0.244 0.251
Tb3 0.409 0.082 0.748
Tb4 0.591 0.918 0.252
Tb5 0.756 0.756 0.749
Tb6 0.918 0.591 0.252
Pr1 0.334 0.666 0.500
Pr2 0.666 0.334 0.500
Sm1 0.167 0.833 0.000
Sm2 0.500 0.500 0.000
Sm3 0.833 0.167 0.000
In1 0.000 0.000 0.500
```


[12]
The following is a calculated powder diffraction line list of TbPrSm3In. It was derived from a structure optimized by DFT (GGA-PBE), using Cu Kα, 1.54184 Å.
Kinematic intensities with the Lorentz-polarization factor, no thermal factor.

Principal peaks in the range 10 to 80 degrees two-theta, sorted by position:
31.22°, intensity 99
31.38°, intensity 100
34.22°, intensity 38
34.58°, intensity 41
39.86°, intensity 23
49.44°, intensity 27
53.76°, intensity 30
59.60°, intensity 13
59.87°, intensity 18
59.97°, intensity 16

Structural model:
```
data_TbPrSm3In
_chemical_formula_sum 'Tb2 Pr2 Sm6 In2'
_cell_length_a 11.046
_cell_length_b 11.046
_cell_length_c 7.257
_cell_angle_alpha 98.36
_cell_angle_beta 98.36
_cell_angle_gamma 27.16
_symmetry_space_group_name_H-M 'P 1'
_symmetry_Int_Tables_number 1
loop_
_symmetry_equiv_pos_as_xyz
'x,y,z'
loop_
_atom_site_label
_atom_site_fract_x
_atom_site_fract_y
_atom_site_fract_z
Tb1 0.191 0.191 0.054
Tb2 0.809 0.809 0.946
Pr1 0.425 0.425 0.852
Pr2 0.575 0.575 0.148
Sm1 0.033 0.033 0.770
Sm2 0.257 0.257 0.647
Sm3 0.355 0.355 0.281
Sm4 0.645 0.645 0.719
Sm5 0.743 0.743 0.353
Sm6 0.967 0.967 0.230
In1 0.118 0.118 0.423
In2 0.882 0.882 0.577
```


[13]
The following is a calculated powder diffraction line list of PrInSn3. It was derived from a structure optimized by DFT (GGA-PBE), using Cu Kα, 1.54184 Å.
Kinematic intensities with the Lorentz-polarization factor, no thermal factor.

Principal peaks in the range 10 to 80 degrees two-theta, sorted by position:
30.49°, intensity 42
30.93°, intensity 79
33.55°, intensity 100
34.06°, intensity 57
34.46°, intensity 53
36.91°, intensity 27
39.40°, intensity 39
40.00°, intensity 20
52.67°, intensity 31
65.72°, intensity 19

Structural model:
```
data_PrInSn3
_chemical_formula_sum 'Pr4 In4 Sn12'
_cell_length_a 13.367
_cell_length_b 6.412
_cell_length_c 6.526
_cell_angle_alpha 90.00
_cell_angle_beta 90.00
_cell_angle_gamma 90.00
_symmetry_space_group_name_H-M 'P 1'
_symmetry_Int_Tables_number 1
loop_
_symmetry_equiv_pos_as_xyz
'x,y,z'
loop_
_atom_site_label
_atom_site_fract_x
_atom_site_fract_y
_atom_site_fract_z
Pr1 0.191 0.008 0.250
Pr2 0.191 0.492 0.750
Pr3 0.809 0.508 0.250
Pr4 0.809 0.992 0.750
In1 0.385 0.250 0.000
In2 0.385 0.250 0.500
In3 0.615 0.750 0.000
In4 0.615 0.750 0.500
Sn1 0.001 0.250 0.000
Sn2 0.001 0.250 0.500
Sn3 0.216 0.511 0.250
Sn4 0.216 0.989 0.750
Sn5 0.418 0.710 0.750
Sn6 0.418 0.790 0.250
Sn7 0.582 0.210 0.750
Sn8 0.582 0.290 0.250
Sn9 0.784 0.011 0.250
Sn10 0.784 0.489 0.750
Sn11 0.999 0.750 0.000
Sn12 0.999 0.750 0.500
```